Theoretical powder diffractogram of Ac4PrSm for a wavelength of 1.5418 Å, from DFT lattice parameters and positions (PBE).

Main lines, in order of rising 2θ (5° ≤ 2θ ≤ 70°):
2θ = 23.3°, I = 3; 2θ = 28.1°, I = 100; 2θ = 32.2°, I = 18; 2θ = 32.4°, I = 17; 2θ = 33.1°, I = 16; 2θ = 46.3°, I = 13; 2θ = 46.8°, I = 12; 2θ = 47.0°, I = 12; 2θ = 54.9°, I = 16; 2θ = 55.2°, I = 16; 2θ = 56.1°, I = 14; 2θ = 58.1°, I = 13

Structure:
```
Ac4PrSm
1.0
2.782 -8.123 0.000
2.782 8.123 0.000
0.000 0.000 5.526
Ac Pr Sm
4 1 1
direct
0.161 0.839 0.000 Ac
0.338 0.662 0.500 Ac
0.662 0.338 0.500 Ac
0.839 0.161 0.000 Ac
0.500 0.500 0.000 Pr
0.000 0.000 0.500 Sm
```